No. 1
For AlSb2Se2Cl4, a structure optimized by DFT (PBE) gives the calculated powder XRD pattern in this record (Cu Kα (λ = 1.5418 Å)).

Atomic structure:
Cell lengths 9.4279, 11.5860, 11.9281 Å; angles 67.99, 78.16, 72.81 degrees
Atoms (fractional coordinates):
Al 0.1075 0.1839 0.4773
Al 0.1881 0.6818 0.9567
Al 0.8119 0.3182 0.0433
Al 0.8925 0.8161 0.5227
Sb 0.2942 0.5589 0.4941
Sb 0.3452 0.9877 0.9290
Sb 0.4355 0.1468 0.6760
Sb 0.4401 0.3701 0.8342
Sb 0.5599 0.6299 0.1658
Sb 0.5645 0.8532 0.3240
Sb 0.6548 0.0123 0.0710
Sb 0.7058 0.4411 0.5059
Se 0.2401 0.3473 0.7211
Se 0.3494 0.7840 0.2640
Se 0.3772 0.1487 0.0328
Se 0.4887 0.5987 0.5983
Se 0.5113 0.4013 0.4017
Se 0.6228 0.8513 0.9672
Se 0.6506 0.2160 0.7360
Se 0.7599 0.6527 0.2789
Cl 0.0103 0.8382 0.9801
Cl 0.1057 0.8194 0.5586
Cl 0.1077 0.3833 0.4296
Cl 0.1247 0.0935 0.6710
Cl 0.1247 0.5750 0.8692
Cl 0.2641 0.5541 0.1295
Cl 0.2948 0.0972 0.3751
Cl 0.3760 0.7562 0.8436
Cl 0.6240 0.2438 0.1564
Cl 0.7052 0.9028 0.6249
Cl 0.7359 0.4459 0.8705
Cl 0.8753 0.4250 0.1308
Cl 0.8753 0.9065 0.3290
Cl 0.8923 0.6167 0.5704
Cl 0.8943 0.1806 0.4414
Cl 0.9897 0.1618 0.0199

Main lines, in order of falling intensity (10° ≤ 2θ ≤ 90°):
2θ/deg	I/Imax	h k l
28.40	100	0 1 -3
28.19	86	1 2 -2
11.45	86	1 1 1
30.23	64	3 2 2
30.04	52	-1 3 2
15.71	50	-1 1 1
29.68	44	2 3 3
27.24	43	0 2 -2
33.26	42	3 2 3
13.40	37	1 0 -1
33.11	37	1 4 3
30.31	34	1 1 -3

No. 2
For AlSeCl7, a structure optimized by DFT (PBE) gives the calculated powder XRD pattern in this record (Cu Kα (λ = 1.5418 Å)).

Atomic structure:
Cell lengths 6.8635, 8.7294, 10.2048 Å; angles 85.78, 73.71, 82.90 degrees
Atoms (fractional coordinates):
Al 0.0000 0.0000 0.0000
Al 0.2545 0.4279 0.4191
Se 0.5749 0.5514 0.7820
Se 0.8023 0.0457 0.4662
Cl 0.0608 0.9412 0.5352
Cl 0.0662 0.1913 0.8570
Cl 0.0755 0.0475 0.1868
Cl 0.1938 0.7960 0.9097
Cl 0.2847 0.6157 0.2721
Cl 0.3088 0.5041 0.6036
Cl 0.4620 0.2255 0.3460
Cl 0.4716 0.3958 0.9481
Cl 0.5886 0.0846 0.6670
Cl 0.6903 0.8362 0.4260
Cl 0.6920 0.9505 0.0418
Cl 0.8235 0.4879 0.1290
Cl 0.8373 0.6289 0.8155
Cl 0.9396 0.3677 0.4772

Main lines, in order of falling intensity (10° ≤ 2θ ≤ 90°):
2θ/deg	I/Imax	h k l
28.08	100	0 2 -2
28.41	87	-1 2 1
20.45	58	0 1 2
20.52	57	0 2 0
27.97	56	1 1 3
33.89	54	1 0 -3
31.46	48	2 -1 2
32.42	43	1 3 1
17.84	39	1 -1 0
16.07	37	1 1 0
21.49	36	-1 1 1
13.93	36	0 1 -1

No. 3
For AlSeCl7, a structure optimized by DFT (PBE) gives the calculated powder XRD pattern in this record (Cu Kα (λ = 1.5418 Å)).

Atomic structure:
Cell lengths 6.5753, 8.4661, 10.2070 Å; angles 85.69, 76.70, 83.56 degrees
Atoms (fractional coordinates):
Al 0.0000 0.0000 0.0000
Al 0.2491 0.4421 0.4360
Se 0.5726 0.6053 0.0103
Se 0.7880 0.0519 0.4789
Cl 0.0493 0.1991 0.8582
Cl 0.0554 0.9380 0.5529
Cl 0.0710 0.0572 0.1876
Cl 0.2024 0.7955 0.9113
Cl 0.2716 0.6340 0.2786
Cl 0.3297 0.5238 0.6073
Cl 0.4321 0.3894 0.9918
Cl 0.4517 0.2348 0.3534
Cl 0.5752 0.0937 0.6731
Cl 0.6662 0.8371 0.4361
Cl 0.6756 0.9426 0.0388
Cl 0.7646 0.6135 0.8057
Cl 0.8144 0.5075 0.1152
Cl 0.9239 0.3847 0.4840

Main lines, in order of falling intensity (10° ≤ 2θ ≤ 90°):
2θ/deg	I/Imax	h k l
28.51	100	0 2 -2
17.88	85	0 0 2
33.61	85	1 3 1
33.20	71	1 0 -3
32.89	68	2 -1 2
17.06	64	1 1 1
47.89	52	3 2 3
28.71	44	-1 2 1
13.46	43	0 1 1
19.20	42	1 -1 1
18.29	42	1 -1 0
21.15	40	0 2 0